# 1
The following is a theoretical powder diffractogram of Ac2Sm5. It was derived from a structure optimized by DFT (PBE), using Cu Kα, 1.54184 Å.

Principal peaks in the range 2θ = 10–80°, low angle first:
two_theta, d_spacing, I/Imax, h k l
29.2, 3.055, 100, 1 1 2
29.4, 3.043, 99, 3 1 -1
33.8, 2.654, 34, 2 0 -3
34.0, 2.634, 67, 4 0 1
48.8, 1.867, 37, 6 0 -2
57.8, 1.595, 30, 5 1 3

Cell and atoms:
Unit cell a=11.7821 b=5.2599 c=8.4021 alpha=90.00 beta=98.15 gamma=90.00
Space group C2/m (No. 12)
Asymmetric unit:
Ac  0.0713  0.0000  0.2182 (multiplicity 4)
Sm  0.0000  0.5000  0.5000 (multiplicity 2)
Sm  0.1455  0.5000  0.9295 (multiplicity 4)
Sm  0.2135  0.0000  0.6430 (multiplicity 4)

=====

# 2
The following is a theoretical powder diffractogram of Ac4Sm3. It was derived from a structure optimized by DFT (PBE), using Cu Kα, 1.54184 Å.

Principal peaks in the range 2θ = 10–80°, low angle first:
two_theta, d_spacing, I/Imax, h k l
28.4, 3.143, 100, 3 1 -1
28.5, 3.127, 99, 1 1 2
32.7, 2.741, 35, 0 2 0
32.9, 2.726, 35, 4 0 1
33.4, 2.679, 32, 2 0 -3
47.4, 1.917, 37, 2 2 -3

Cell and atoms:
Unit cell a=12.1857 b=5.4814 c=8.4683 alpha=90.00 beta=97.74 gamma=90.00
Space group C2/m (No. 12)
Asymmetric unit:
Ac  0.0691  0.0000  0.2282 (multiplicity 4)
Ac  0.1439  0.5000  0.9237 (multiplicity 4)
Sm  0.0000  0.5000  0.5000 (multiplicity 2)
Sm  0.2195  0.0000  0.6372 (multiplicity 4)

=====

# 3
The following is a theoretical powder diffractogram of AcSm7. It was derived from a structure optimized by DFT (PBE), using Cu Kα, 1.54184 Å.

Principal peaks in the range 2θ = 10–80°, low angle first:
two_theta, d_spacing, I/Imax, h k l
29.8, 2.995, 100, 2 2 2
34.6, 2.594, 51, 4 0 0
49.7, 1.834, 37, 4 4 0
59.1, 1.564, 44, 6 2 2
62.0, 1.497, 13, 4 4 4
72.9, 1.297, 6, 8 0 0

Cell and atoms:
Unit cell a=10.3747 b=10.3747 c=10.3747 alpha=90.00 beta=90.00 gamma=90.00
Space group Fm-3m (No. 225)
Asymmetric unit:
Ac  0.0000  0.0000  0.0000 (multiplicity 4)
Sm  0.0000  0.0000  0.5000 (multiplicity 4)
Sm  0.0000  0.2500  0.2500 (multiplicity 24)

=====

# 4
The following is a theoretical powder diffractogram of Ac2Sm3. It was derived from a structure optimized by DFT (PBE), using Cu Kα, 1.54184 Å.

Principal peaks in the range 2θ = 10–80°, low angle first:
two_theta, d_spacing, I/Imax, h k l
27.8, 3.213, 60, 3 1 -1
29.1, 3.065, 100, 4 0 -4
29.6, 3.022, 89, 6 0 -1
30.8, 2.902, 99, 1 1 2
31.2, 2.867, 63, 2 0 3
33.9, 2.641, 50, 5 1 -2

Cell and atoms:
Unit cell a=18.7615 b=3.7491 c=12.5336 alpha=90.00 beta=118.86 gamma=90.00
Space group C2/m (No. 12)
Asymmetric unit:
Ac  0.0451  0.0000  0.1735 (multiplicity 4)
Ac  0.1656  0.5000  0.0262 (multiplicity 4)
Sm  0.0738  0.5000  0.4499 (multiplicity 4)
Sm  0.1126  0.0000  0.7249 (multiplicity 4)
Sm  0.2393  0.5000  0.3740 (multiplicity 4)

=====

# 5
The following is a theoretical powder diffractogram of AcSmSn4. It was derived from a structure optimized by DFT (PBE), using Cu Kα, 1.54184 Å.

Principal peaks in the range 2θ = 10–80°, low angle first:
two_theta, d_spacing, I/Imax, h k l
23.1, 3.845, 32, 1 1 1
33.0, 2.717, 89, 1 1 2
33.3, 2.693, 100, 1 7 0
35.9, 2.499, 52, 0 6 2
37.3, 2.408, 39, 2 0 0
52.8, 1.734, 33, 2 6 2

Cell and atoms:
Unit cell a=4.8167 b=22.7327 c=6.6508 alpha=90.00 beta=90.00 gamma=90.00
Space group Cmcm (No. 63)
Asymmetric unit:
Ac  0.0000  0.2228  0.2500 (multiplicity 4)
Sm  0.0000  0.0687  0.7500 (multiplicity 4)
Sn  0.0000  0.0755  0.2500 (multiplicity 4)
Sn  0.0000  0.3552  0.0042 (multiplicity 8)
Sn  0.0000  0.5000  0.0000 (multiplicity 4)

=====

# 6
The following is a theoretical powder diffractogram of Ac3SmSn6. It was derived from a structure optimized by DFT (PBE), using Cu Kα, 1.54184 Å.

Principal peaks in the range 2θ = 10–80°, low angle first:
two_theta, d_spacing, I/Imax, h k l
24.5, 3.634, 17, 1 1 3
29.1, 3.067, 66, 1 3 1
31.5, 2.840, 100, 0 2 4
40.3, 2.236, 14, 1 2 5
41.9, 2.157, 17, 4 1 3
46.6, 1.950, 12, 1 5 2

Cell and atoms:
Unit cell a=13.1345 b=13.1345 c=13.0886 alpha=90.00 beta=90.00 gamma=120.00
Space group R-3c (No. 167, hexagonal axes)
Asymmetric unit:
Ac  0.0000  0.4323  0.2500 (multiplicity 18)
Sm  0.0000  0.0000  0.0000 (multiplicity 6)
Sn  0.0678  0.2111  0.3440 (multiplicity 36)

=====

# 7
The following is a theoretical powder diffractogram of AcSmSn6. It was derived from a structure optimized by DFT (PBE), using Cu Kα, 1.54184 Å.

Principal peaks in the range 2θ = 10–80°, low angle first:
two_theta, d_spacing, I/Imax, h k l
32.1, 2.792, 100, 1 1 2
36.9, 2.438, 35, 2 0 0
37.8, 2.378, 16, 0 0 4
53.9, 1.702, 23, 2 0 4
63.4, 1.467, 30, 3 1 2
64.7, 1.440, 13, 1 1 6

Cell and atoms:
Unit cell a=4.8764 b=4.8764 c=9.5120 alpha=90.00 beta=90.00 gamma=90.00
Space group P4/mmm (No. 123)
Asymmetric unit:
Ac  0.0000  0.0000  0.0000 (multiplicity 1)
Sm  0.0000  0.0000  0.5000 (multiplicity 1)
Sn  0.0000  0.5000  0.2591 (multiplicity 4)
Sn  0.5000  0.5000  0.0000 (multiplicity 1)
Sn  0.5000  0.5000  0.5000 (multiplicity 1)

=====

# 8
The following is a theoretical powder diffractogram of Ac12SmSn4. It was derived from a structure optimized by DFT (PBE), using Cu Kα, 1.54184 Å.

Principal peaks in the range 2θ = 10–80°, low angle first:
two_theta, d_spacing, I/Imax, h k l
23.9, 3.728, 100, 3 0 1
28.3, 3.151, 54, 3 1 2
37.4, 2.407, 27, 4 2 2
44.8, 2.022, 30, 5 3 0
52.7, 1.738, 24, 6 1 3
67.4, 1.390, 21, 6 6 0

Cell and atoms:
Unit cell a=11.7903 b=11.7903 c=11.7903 alpha=90.00 beta=90.00 gamma=90.00
Space group Im-3 (No. 204)
Asymmetric unit:
Ac  0.0000  0.3277  0.1648 (multiplicity 24)
Sm  0.0000  0.0000  0.0000 (multiplicity 2)
Sn  0.2500  0.2500  0.2500 (multiplicity 8)

=====

# 9
The following is a theoretical powder diffractogram of AcTb6Sm10. It was derived from a structure optimized by DFT (PBE), using Cu Kα, 1.54184 Å.

Principal peaks in the range 2θ = 10–80°, low angle first:
two_theta, d_spacing, I/Imax, h k l
31.1, 2.872, 84, 2 2 1
31.7, 2.823, 100, 0 3 3
32.9, 2.720, 18, 2 2 0
45.0, 2.013, 25, 2 2 4
56.1, 1.639, 22, 2 5 4
61.7, 1.503, 16, 4 3 0

Cell and atoms:
Unit cell a=7.0983 b=9.7749 c=9.7816 alpha=60.03 beta=89.94 gamma=89.89
Space group P-1 (No. 2)
Asymmetric unit:
Ac  0.0000  0.0000  0.0000 (multiplicity 1)
Tb  0.1299  0.3675  0.9746 (multiplicity 2)
Tb  0.1302  0.6578  0.3675 (multiplicity 2)
Tb  0.1297  0.9750  0.6577 (multiplicity 2)
Sm  0.1264  0.3333  0.3331 (multiplicity 2)
Sm  0.3644  0.0187  0.3026 (multiplicity 2)
Sm  0.3640  0.3026  0.6786 (multiplicity 2)
Sm  0.3642  0.6784  0.0187 (multiplicity 2)
Sm  0.3902  0.6666  0.6665 (multiplicity 2)

=====

# 10
The following is a theoretical powder diffractogram of AcTb5Sm5. It was derived from a structure optimized by DFT (PBE), using Cu Kα, 1.54184 Å.

Principal peaks in the range 2θ = 10–80°, low angle first:
two_theta, d_spacing, I/Imax, h k l
28.3, 3.153, 100, 1 0 3
28.7, 3.106, 85, 1 1 0
29.8, 3.002, 31, 1 1 1
35.0, 2.565, 27, 1 0 4
36.8, 2.443, 33, 2 0 2
50.7, 1.802, 40, 2 1 3

Cell and atoms:
Unit cell a=6.2126 b=6.2126 c=11.6721 alpha=90.00 beta=90.00 gamma=120.00
Space group P-6m2 (No. 187)
Asymmetric unit:
Ac  0.0000  0.0000  0.0000 (multiplicity 1)
Tb  0.0010  0.5005  0.5000 (multiplicity 3)
Tb  0.6667  0.3333  0.2655 (multiplicity 2)
Sm  0.0000  0.0000  0.3334 (multiplicity 2)
Sm  0.3333  0.6667  0.1611 (multiplicity 2)
Sm  0.6667  0.3333  0.0000 (multiplicity 1)

=====

# 11
The following is a theoretical powder diffractogram of AcTb3Sm. It was derived from a structure optimized by DFT (PBE), using Cu Kα, 1.54184 Å.

Principal peaks in the range 2θ = 10–80°, low angle first:
two_theta, d_spacing, I/Imax, h k l
28.7, 3.113, 42, 4 2 1
29.8, 3.000, 68, 1 3 -1
30.8, 2.906, 77, 4 0 -2
31.6, 2.833, 30, 6 2 0
31.8, 2.817, 100, 7 1 0
32.0, 2.794, 66, 3 3 -1

Cell and atoms:
Unit cell a=20.5546 b=10.1360 c=6.7401 alpha=90.00 beta=94.03 gamma=90.00
Space group C2/c (No. 15)
Asymmetric unit:
Ac  0.0000  0.1085  0.2500 (multiplicity 4)
Ac  0.0000  0.2520  0.7500 (multiplicity 4)
Tb  0.0755  0.4463  0.3948 (multiplicity 8)
Tb  0.1445  0.0955  0.6011 (multiplicity 8)
Tb  0.1646  0.2552  0.0829 (multiplicity 8)
Sm  0.2192  0.4237  0.6586 (multiplicity 8)

=====

# 12
The following is a theoretical powder diffractogram of Ac3TbSm. It was derived from a structure optimized by DFT (PBE), using Cu Kα, 1.54184 Å.

Principal peaks in the range 2θ = 10–80°, low angle first:
two_theta, d_spacing, I/Imax, h k l
24.2, 3.678, 32, 1 2 1
26.1, 3.419, 100, 1 1 3
28.8, 3.105, 56, 2 1 0
29.2, 3.058, 59, 0 3 1
30.9, 2.896, 76, 1 2 3
31.7, 2.825, 46, 1 1 4

Cell and atoms:
Unit cell a=6.5773 b=9.4284 c=13.2635 alpha=90.00 beta=90.00 gamma=90.00
Space group Pnna (No. 52)
Asymmetric unit:
Ac  0.0872  0.1728  0.0734 (multiplicity 8)
Ac  0.1373  0.2500  0.7500 (multiplicity 4)
Tb  0.2500  0.0000  0.3054 (multiplicity 4)
Sm  0.2500  0.0000  0.5576 (multiplicity 4)